Record 1
Pm4Tl2CdRh: simulated X-ray powder pattern (CuKα), based on DFT lattice parameters and positions (GGA-PBE).
No peak broadening, texture or thermal motion is included.

Most intense lines, 2θ from 5° to 70°, in order of rising 2θ:
Position (°2θ)  I (rel.)
20.25  6
30.85  12
31.06  5
33.30  100
33.70  76
46.18  10
48.10  28
59.51  19
59.76  29
60.52  6
64.05  12
69.92  12

Atomic structure:
```
Pm4Tl2CdRh
1.0
2.6906 1.5534 8.6384
-2.6906 1.5534 8.6384
0.0000 -3.1069 8.6384
Pm Tl Cd Rh
4 2 1 1
Cartesian
0.0000 0.0000 2.9107
0.0000 0.0000 9.5027
0.0000 0.0000 16.4126
0.0000 0.0000 23.0047
0.0000 0.0000 6.2114
0.0000 0.0000 19.7040
0.0000 0.0000 12.9577
0.0000 0.0000 0.0000
```

=====

Record 2
Nd2Dy4TmSc: simulated X-ray powder pattern (CuKα), based on DFT lattice parameters and positions (GGA-PBE).
No peak broadening, texture or thermal motion is included.

Most intense lines, 2θ from 5° to 70°, in order of rising 2θ:
Position (°2θ)  I (rel.)
8.88  4
17.70  2
25.18  3
26.70  2
30.97  100
35.84  34
36.07  17
51.58  12
51.76  24
61.39  28
61.70  14
64.55  12

Atomic structure:
```
Nd2Dy4TmSc
1.0
5.0115 0.0000 0.0000
0.0000 5.0115 0.0000
0.0000 0.0000 9.9607
Nd Dy Tm Sc
2 4 1 1
Cartesian
0.0000 0.0000 0.0000
2.5058 2.5058 4.9804
0.0000 2.5058 2.4550
0.0000 2.5058 7.5057
2.5058 0.0000 2.4550
2.5058 0.0000 7.5057
0.0000 0.0000 4.9804
2.5058 2.5058 0.0000
```

=====

Record 3
Rb2SbS3: simulated X-ray powder pattern (CuKα), based on DFT lattice parameters and positions (GGA-PBE).
No peak broadening, texture or thermal motion is included.

Most intense lines, 2θ from 5° to 70°, in order of rising 2θ:
Position (°2θ)  I (rel.)
12.66  31
16.89  28
22.45  100
24.74  83
25.52  38
26.08  31
27.80  21
30.45  39
31.60  34
38.15  29
40.83  23
45.82  20

Atomic structure:
```
Rb2SbS3
1.0
3.9609 -6.9915 0.0000
3.9609 6.9915 0.0000
0.0000 0.0000 16.1902
Rb Sb S
8 4 12
Cartesian
3.9609 6.2798 13.6727
3.9609 5.0200 6.9010
3.9609 1.9715 14.9961
3.9609 0.7117 5.5776
3.9609 -0.7117 10.6127
3.9609 -1.9715 1.1941
3.9609 -5.0200 9.2892
3.9609 -6.2798 2.5175
3.9609 3.5825 2.5632
3.9609 3.4090 10.6583
3.9609 -3.4090 5.5319
3.9609 -3.5825 13.6270
1.9804 2.8080 12.1427
3.9609 5.7471 10.2511
3.9609 4.8479 0.5398
3.9609 2.1436 8.6349
3.9609 1.2444 2.1560
1.9804 -2.8080 4.0476
5.9413 2.8080 12.1427
3.9609 -1.2444 14.0342
3.9609 -2.1436 7.5554
3.9609 -4.8479 15.6505
3.9609 -5.7471 5.9391
5.9413 -2.8080 4.0476
```

=====

Record 4
Pa2CoCu3Ni12: simulated X-ray powder pattern (CuKα), based on DFT lattice parameters and positions (GGA-PBE).
No peak broadening, texture or thermal motion is included.

Most intense lines, 2θ from 5° to 70°, in order of rising 2θ:
Position (°2θ)  I (rel.)
11.35  17
17.00  46
31.14  74
33.72  31
36.95  60
37.14  16
42.18  23
43.33  14
45.97  100
52.64  30
52.92  25
59.88  32

Atomic structure:
```
Pa2CoCu3Ni12
1.0
3.0895 1.7837 7.7935
-3.0895 1.7837 7.7935
0.0000 -3.5675 7.7935
Pa Co Cu Ni
2 1 3 12
Cartesian
0.0000 0.0000 3.2521
0.0000 0.0000 20.1282
0.0000 0.0000 11.6902
-1.5448 -0.8919 7.7935
-1.5448 0.8919 15.5869
0.0000 1.7837 7.7934
-1.6887 -0.9750 10.3683
0.0000 -2.1993 6.6708
-1.9047 1.0997 6.6708
-1.9047 -1.0997 16.7095
0.0000 -1.9499 13.0120
-1.6887 0.9750 13.0120
1.6887 -0.9750 10.3683
0.0000 1.9499 10.3683
1.9047 1.0997 6.6708
1.9047 -1.0997 16.7095
0.0000 2.1993 16.7095
1.6887 0.9750 13.0120
```

=====

Record 5
KTaTc2: simulated X-ray powder pattern (CuKα), based on DFT lattice parameters and positions (GGA-PBE).
No peak broadening, texture or thermal motion is included.

Most intense lines, 2θ from 5° to 70°, in order of rising 2θ:
Position (°2θ)  I (rel.)
11.31  100
22.73  9
31.60  19
37.20  30
37.39  5
38.34  6
38.77  11
39.24  10
41.00  13
44.14  9
45.72  7
51.77  10

Atomic structure:
```
KTaTc2
1.0
2.9915 0.0000 0.0000
0.0000 4.1033 0.0000
-0.1969 0.0000 7.8256
K Ta Tc
1 1 2
Cartesian
0.0000 0.0000 0.0000
-0.0985 0.0000 3.9128
1.3977 2.0517 2.7885
1.3969 2.0517 5.0371
```

=====

Record 6
La3Al2Sn3: simulated X-ray powder pattern (CuKα), based on DFT lattice parameters and positions (GGA-PBE).
No peak broadening, texture or thermal motion is included.

Most intense lines, 2θ from 5° to 70°, in order of rising 2θ:
Position (°2θ)  I (rel.)
26.03  20
29.46  34
30.08  82
31.37  39
31.61  29
34.11  100
34.67  37
36.77  49
42.30  17
42.99  20
49.09  22
60.13  24

Atomic structure:
```
La3Al2Sn3
1.0
2.4443 -5.7977 0.0000
2.4443 5.7977 0.0000
0.0000 0.0000 15.8049
La Al Sn
6 4 6
Cartesian
2.4443 4.9555 11.8537
2.4443 4.0555 0.5915
2.4443 4.0555 7.3109
2.4443 -4.0555 8.4940
2.4443 -4.0555 15.2134
2.4443 -4.9555 3.9512
2.4443 1.8086 10.5159
2.4443 1.8086 13.1914
2.4443 -1.8086 2.6135
2.4443 -1.8086 5.2889
2.4443 3.3002 3.9512
2.4443 0.6675 1.4036
2.4443 0.6675 6.4988
2.4443 -0.6675 9.3061
2.4443 -0.6675 14.4012
2.4443 -3.3002 11.8537
```